Entry 1:
Simulated PXRD pattern
Compound: Dy3Er2Mg
Radiation: Cu Kα, 1.54184 Å
Structure: DFT lattice parameters and positions (GGA-PBE)
Neutral-atom scattering factors, no anomalous dispersion.

Structural model:
a = 6.7132 Å, b = 17.2081 Å, c = 6.3716 Å
α = 90.00°, β = 90.86°, γ = 90.00°
Space group C2/c (No. 15)
Asymmetric unit:
Dy 0.0000 0.0924 0.2500
Dy 0.2442 0.0924 0.7536
Er 0.0008 0.2614 0.5075
Mg 0.0000 0.4253 0.7500

Peak list (12 most intense, 10° ≤ 2θ ≤ 90°, in order of rising 2θ)
10.28°, I = 29, (0 2 0); 28.55°, I = 56, (2 2 0); 29.16°, I = 26, (1 5 0); 29.91°, I = 99, (0 2 2); 31.19°, I = 95, (0 6 0); 31.70°, I = 69, (2 2 -1); 32.06°, I = 63, (2 2 1); 33.88°, I = 44, (2 4 0); 35.05°, I = 100, (0 4 2); 36.62°, I = 28, (2 4 -1); 36.94°, I = 27, (2 4 1); 52.42°, I = 33, (2 8 -1)

=====

Entry 2:
Simulated PXRD pattern
Compound: LaCe2P3
Radiation: Cu Kα, 1.54184 Å
Structure: DFT lattice parameters and positions (GGA-PBE)
Neutral-atom scattering factors, no anomalous dispersion.

Structural model:
a = 4.1495 Å, b = 5.8799 Å, c = 12.4671 Å
α = 90.00°, β = 90.00°, γ = 90.00°
Space group Immm (No. 71)
Asymmetric unit:
La 0.0000 0.0000 0.0000
Ce 0.0000 0.0000 0.3342
P 0.0000 0.5000 0.0000
P 0.0000 0.5000 0.3263

Peak list (12 most intense, 10° ≤ 2θ ≤ 90°, in order of rising 2θ)
26.27°, I = 77, (0 1 3); 30.43°, I = 100, (0 2 0); 43.57°, I = 73, (2 0 0); 51.60°, I = 38, (1 1 6); 54.07°, I = 26, (2 2 0); 63.32°, I = 12, (0 4 0); 69.76°, I = 13, (0 1 9); 71.85°, I = 27, (1 4 3); 71.95°, I = 5, (3 0 3); 79.97°, I = 16, (2 4 0); 80.08°, I = 8, (3 2 3); 85.94°, I = 7, (2 1 9)

=====

Entry 3:
Simulated PXRD pattern
Compound: Pm3Tm4Sb8
Radiation: Cu Kα, 1.54184 Å
Structure: DFT lattice parameters and positions (GGA-PBE)
Neutral-atom scattering factors, no anomalous dispersion.

Structural model:
a = 12.4275 Å, b = 12.4405 Å, c = 8.7478 Å
α = 90.00°, β = 134.66°, γ = 90.00°
Space group C2/m (No. 12)
Asymmetric unit:
Pm 0.0000 0.0000 0.0000
Pm 0.2500 0.2500 0.0000
Tm 0.0000 0.5000 0.0000
Tm 0.0000 0.5000 0.5000
Tm 0.2500 0.2500 0.5000
Sb 0.0000 0.2506 0.5000
Sb 0.0000 0.2534 0.0000
Sb 0.2447 0.5000 0.9979
Sb 0.2458 0.5000 0.4917

Peak list (12 most intense, 10° ≤ 2θ ≤ 90°, in order of rising 2θ)
12.31°, I = 7, (1 1 0); 28.71°, I = 100, (0 4 0); 40.83°, I = 13, (4 0 0); 41.05°, I = 51, (0 4 2); 41.28°, I = 12, (4 0 -4); 50.68°, I = 14, (4 4 0); 51.05°, I = 13, (4 4 -4); 59.46°, I = 13, (0 8 0); 67.03°, I = 6, (4 0 2); 67.34°, I = 23, (0 8 2); 74.49°, I = 9, (4 4 2); 75.10°, I = 8, (8 4 -6)

=====

Entry 4:
Simulated PXRD pattern
Compound: Hf5Pt2C
Radiation: Cu Kα, 1.54184 Å
Structure: DFT lattice parameters and positions (GGA-PBE)
Neutral-atom scattering factors, no anomalous dispersion.

Structural model:
a = 4.5410 Å, b = 13.9977 Å, c = 10.8609 Å
α = 90.00°, β = 90.00°, γ = 90.00°
Space group Cmcm (No. 63)
Asymmetric unit:
Hf 0.0000 0.0835 0.1082
Hf 0.0000 0.2967 0.7500
Hf 0.0000 0.3046 0.0780
Pt 0.0000 0.1087 0.6298
C 0.0000 0.2008 0.2500

Peak list (12 most intense, 10° ≤ 2θ ≤ 90°, in order of rising 2θ)
20.56°, I = 63, (1 1 0); 32.26°, I = 52, (1 1 3); 32.99°, I = 21, (0 0 4); 35.68°, I = 39, (0 4 3); 37.75°, I = 100, (1 5 0); 39.19°, I = 42, (1 1 4); 39.70°, I = 50, (2 0 0); 42.12°, I = 16, (0 4 4); 50.99°, I = 23, (1 5 4); 54.43°, I = 23, (2 4 3); 68.88°, I = 15, (1 9 3); 70.76°, I = 17, (3 5 0)

=====

Entry 5:
Simulated PXRD pattern
Compound: PaCl2F5
Radiation: Cu Kα, 1.54184 Å
Structure: DFT lattice parameters and positions (GGA-PBE)
Neutral-atom scattering factors, no anomalous dispersion.

Structural model:
a = 5.3774 Å, b = 6.1735 Å, c = 6.7240 Å
α = 77.13°, β = 73.78°, γ = 75.16°
Space group P1 (No. 1)
Asymmetric unit:
Pa 0.0000 0.0000 0.0000
Cl 0.1328 0.2278 0.4304
Cl 0.9887 0.7105 0.7915
F 0.0338 0.2735 0.1742
F 0.2316 0.1754 0.6941
F 0.3483 0.8198 0.0704
F 0.6599 0.2089 0.9346
F 0.7953 0.8544 0.2809

Peak list (12 most intense, 10° ≤ 2θ ≤ 90°, in order of rising 2θ)
13.90°, I = 100, (0 0 1); 15.05°, I = 99, (0 1 0); 17.56°, I = 95, (1 0 0); 18.78°, I = 38, (0 1 1); 19.69°, I = 35, (1 0 1); 20.66°, I = 22, (1 1 0); 20.91°, I = 35, (1 1 1); 22.17°, I = 39, (0 1 -1); 25.50°, I = 28, (1 -1 0); 28.52°, I = 35, (1 1 -1); 30.89°, I = 27, (1 2 1); 31.33°, I = 21, (0 2 1)

=====

Entry 6:
Simulated PXRD pattern
Compound: MgTa2Tc
Radiation: Cu Kα, 1.54184 Å
Structure: DFT lattice parameters and positions (GGA-PBE)
Neutral-atom scattering factors, no anomalous dispersion.

Structural model:
a = 5.6663 Å, b = 9.3386 Å, c = 2.7500 Å
α = 90.00°, β = 109.52°, γ = 90.00°
Space group C2/m (No. 12)
Asymmetric unit:
Mg 0.0000 0.0000 0.0000
Ta 0.2500 0.2500 0.5000
Tc 0.0000 0.5000 0.0000

Peak list (12 most intense, 10° ≤ 2θ ≤ 90°, in order of rising 2θ)
19.01°, I = 66, (0 2 0); 33.56°, I = 17, (2 0 0); 38.56°, I = 51, (0 4 0); 38.85°, I = 100, (2 2 0); 39.54°, I = 48, (2 0 -1); 39.77°, I = 94, (0 2 1); 44.23°, I = 18, (2 2 -1); 56.42°, I = 34, (2 4 -1); 69.96°, I = 18, (2 6 0); 70.57°, I = 26, (4 0 0); 70.65°, I = 17, (4 2 -1); 71.12°, I = 17, (2 4 1)

=====

Entry 7:
Simulated PXRD pattern
Compound: Pa2Be16Pt
Radiation: Cu Kα, 1.54184 Å
Structure: DFT lattice parameters and positions (GGA-PBE)
Neutral-atom scattering factors, no anomalous dispersion.

Structural model:
a = 7.8529 Å, b = 7.8529 Å, c = 11.5179 Å
α = 90.00°, β = 90.00°, γ = 120.00°
Space group R3m (No. 160, hexagonal axes)
Asymmetric unit:
Pa 0.0000 0.0000 0.0000
Pa 0.0000 0.0000 0.3110
Be 0.0000 0.0000 0.5496
Be 0.0001 0.2780 0.6557
Be 0.0013 0.5006 0.4958
Be 0.0056 0.5028 0.1548
Be 0.1691 0.3382 0.1483
Pt 0.0000 0.0000 0.7533

Peak list (12 most intense, 10° ≤ 2θ ≤ 90°, in order of rising 2θ)
20.21°, I = 14, (0 1 2); 22.65°, I = 100, (1 1 0); 23.17°, I = 14, (0 0 3); 32.62°, I = 40, (1 1 3); 33.80°, I = 23, (1 0 4); 39.76°, I = 28, (3 0 0); 41.08°, I = 15, (0 2 4); 46.24°, I = 20, (2 2 0); 46.52°, I = 18, (3 0 3); 47.41°, I = 21, (2 1 4); 62.59°, I = 14, (4 1 0); 67.65°, I = 18, (2 1 7)

=====

Entry 8:
Simulated PXRD pattern
Compound: AcTlS14
Radiation: Cu Kα, 1.54184 Å
Structure: DFT lattice parameters and positions (GGA-PBE)
Neutral-atom scattering factors, no anomalous dispersion.

Structural model:
a = 18.4643 Å, b = 11.4948 Å, c = 10.3226 Å
α = 90.00°, β = 120.76°, γ = 90.00°
Space group C2/c (No. 15)
Asymmetric unit:
Ac 0.0000 0.0000 0.0000
Tl 0.0000 0.3492 0.2500
S 0.0187 0.2402 0.8639
S 0.1127 0.0099 0.3487
S 0.1217 0.2129 0.5288
S 0.1302 0.4971 0.5939
S 0.1353 0.1425 0.9638
S 0.1440 0.3312 0.6950
S 0.1474 0.3902 0.2521

Peak list (12 most intense, 10° ≤ 2θ ≤ 90°, in order of rising 2θ)
11.15°, I = 100, (2 0 0); 18.42°, I = 24, (0 2 1); 18.68°, I = 19, (2 2 -1); 19.42°, I = 20, (1 1 -2); 23.89°, I = 27, (1 3 0); 24.70°, I = 45, (1 1 2); 25.98°, I = 28, (5 1 -2); 26.21°, I = 18, (4 2 -2); 28.78°, I = 27, (3 3 0); 34.88°, I = 23, (7 1 -2); 37.28°, I = 16, (0 4 2); 42.91°, I = 18, (5 3 -4)

=====

Entry 9:
Simulated PXRD pattern
Compound: NaThHg6
Radiation: Cu Kα, 1.54184 Å
Structure: DFT lattice parameters and positions (GGA-PBE)
Neutral-atom scattering factors, no anomalous dispersion.

Structural model:
a = 5.1363 Å, b = 6.7434 Å, c = 11.6910 Å
α = 90.00°, β = 90.00°, γ = 90.00°
Space group Amm2 (No. 38)
Asymmetric unit:
Na 0.0000 0.0000 0.0000
Th 0.5000 0.0000 0.6656
Hg 0.0000 0.0000 0.4959
Hg 0.0000 0.2457 0.2510
Hg 0.5000 0.0000 0.1693
Hg 0.5000 0.2477 0.4152

Peak list (12 most intense, 10° ≤ 2θ ≤ 90°, in order of rising 2θ)
15.16°, I = 9, (0 0 2); 23.06°, I = 5, (1 1 1); 30.60°, I = 25, (0 0 4); 34.94°, I = 23, (2 0 0); 35.35°, I = 100, (1 2 2); 47.12°, I = 16, (2 0 4); 54.40°, I = 20, (0 4 0); 62.92°, I = 19, (3 2 2); 66.30°, I = 22, (2 4 0); 66.56°, I = 16, (1 0 8); 74.77°, I = 4, (2 4 4); 87.86°, I = 8, (3 0 8)